The following is a theoretical PXRD pattern of YMg6C. It was derived from a structure optimized by DFT (GGA-PBE), using Cu Kα (weighted mean of Kα1 and Kα2).
Kinematic intensities with the Lorentz-polarization factor, no thermal factor.

Main lines, low angle first (10 to 90 degrees two-theta):
h k l, Position (°2θ), I/Imax
0 1 1, 17.15, 57
1 1 1, 26.02, 66
1 1 3, 32.32, 57
1 0 4, 33.28, 100
0 2 2, 34.71, 49
0 1 5, 37.36, 29
2 0 0, 39.41, 42
1 2 2, 40.07, 85
2 2 2, 53.51, 27
3 0 4, 67.62, 26

Cell and atoms:
Unit cell a=4.572 b=5.609 c=13.325 alpha=90.00 beta=90.00 gamma=90.00
Space group Amm2 (No. 38)
Symmetry-distinct sites (fractional):
Y  0.000  0.000  0.000
Mg  0.000  0.249  0.256
Mg  0.500  0.000  0.159
Mg  0.500  0.000  0.599
Mg  0.500  0.237  0.388
C  0.000  0.000  0.399

***

The following is a theoretical PXRD pattern of YMg6C. It was derived from a structure optimized by DFT (GGA-PBE), using Cu Kα (weighted mean of Kα1 and Kα2).
Kinematic intensities with the Lorentz-polarization factor, no thermal factor.

Main lines, low angle first (10 to 90 degrees two-theta):
h k l, Position (°2θ), I/Imax
0 0 2, 13.45, 52
0 1 1, 15.76, 42
1 1 1, 24.55, 53
0 1 3, 24.83, 38
1 1 3, 31.27, 38
0 2 2, 31.82, 74
1 0 4, 33.13, 76
1 2 2, 37.15, 100
2 0 0, 37.94, 42
2 2 2, 50.33, 38

Cell and atoms:
Unit cell a=4.743 b=6.220 c=13.163 alpha=90.00 beta=90.00 gamma=90.00
Space group Amm2 (No. 38)
Symmetry-distinct sites (fractional):
Y  0.000  0.000  0.000
Mg  0.000  0.000  0.570
Mg  0.000  0.247  0.281
Mg  0.500  0.000  0.408
Mg  0.500  0.241  0.141
C  0.500  0.000  0.024

***

The following is a theoretical PXRD pattern of YMg14C. It was derived from a structure optimized by DFT (GGA-PBE), using Cu Kα (weighted mean of Kα1 and Kα2).
Kinematic intensities with the Lorentz-polarization factor, no thermal factor.

Main lines, low angle first (10 to 90 degrees two-theta):
h k l, Position (°2θ), I/Imax
1 0 1, 18.28, 20
1 0 3, 31.32, 11
2 0 0, 32.25, 26
0 0 4, 35.95, 22
2 0 2, 37.05, 100
2 0 4, 49.06, 14
2 2 0, 57.51, 17
2 0 6, 65.35, 15
2 2 4, 69.72, 17
4 0 2, 70.42, 13

Cell and atoms:
Unit cell a=6.4097 b=6.4097 c=9.9918 alpha=90.00 beta=90.00 gamma=120.00
Space group P-6m2 (No. 187)
Symmetry-distinct sites (fractional):
Y  0.0000  0.0000  0.0000
Mg  0.0157  0.5078  0.0000
Mg  0.1574  0.3149  0.2726
Mg  0.5057  0.0113  0.5000
Mg  0.6667  0.3333  0.2393
C  0.0000  0.0000  0.5000

***

The following is a theoretical PXRD pattern of Mg6ZnC. It was derived from a structure optimized by DFT (GGA-PBE), using Cu Kα (weighted mean of Kα1 and Kα2).
Kinematic intensities with the Lorentz-polarization factor, no thermal factor.

Main lines, low angle first (10 to 90 degrees two-theta):
h k l, Position (°2θ), I/Imax
0 1 1, 13.51, 25
0 0 2, 17.40, 28
1 1 1, 29.31, 17
1 2 0, 33.42, 15
0 0 4, 35.22, 34
1 2 2, 37.92, 100
1 1 3, 38.70, 24
0 4 2, 46.03, 17
1 2 4, 49.35, 16
1 2 6, 64.99, 16

Cell and atoms:
Unit cell a=3.442 b=8.554 c=10.193 alpha=90.00 beta=90.00 gamma=90.00
Space group Amm2 (No. 38)
Symmetry-distinct sites (fractional):
Mg  0.000  0.000  0.000
Mg  0.000  0.162  0.252
Mg  0.500  0.000  0.750
Mg  0.500  0.238  0.510
Zn  0.000  0.000  0.531
C  0.500  0.000  0.143